[1]
The following is a calculated XRD peak list of Er11Tl9Ir4. It was derived from the GGA-PBE geometry in Alexandria, using Cu Kα X-rays.

Cell and atoms:
```
data_Er11Tl9Ir4
_chemical_formula_sum 'Er11 Tl9 Ir4'
_cell_length_a 13.160
_cell_length_b 13.160
_cell_length_c 3.688
_cell_angle_alpha 90.00
_cell_angle_beta 90.00
_cell_angle_gamma 112.46
_symmetry_space_group_name_H-M 'P 1'
_symmetry_Int_Tables_number 1
_symmetry_space_group_name_Hall 'P 1'
loop_
_atom_site_label
_atom_site_fract_x
_atom_site_fract_y
_atom_site_fract_z
Er1 0.000 0.000 0.000
Er2 0.084 0.418 0.000
Er3 0.163 0.837 0.000
Er4 0.312 0.312 0.000
Er5 0.374 0.626 0.000
Er6 0.418 0.084 0.000
Er7 0.582 0.916 0.000
Er8 0.626 0.374 0.000
Er9 0.688 0.688 0.000
Er10 0.837 0.163 0.000
Er11 0.916 0.582 0.000
Tl1 0.068 0.215 0.500
Tl2 0.150 0.632 0.500
Tl3 0.215 0.068 0.500
Tl4 0.368 0.850 0.500
Tl5 0.500 0.500 0.500
Tl6 0.632 0.150 0.500
Tl7 0.785 0.932 0.500
Tl8 0.850 0.368 0.500
Tl9 0.932 0.785 0.500
Ir1 0.249 0.450 0.500
Ir2 0.450 0.249 0.500
Ir3 0.550 0.751 0.500
Ir4 0.751 0.550 0.500
```

The 6 most intense peaks (2θ = 10–80°), by angle:
32.82 deg, intensity 12
34.56 deg, intensity 100
34.74 deg, intensity 45
36.81 deg, intensity 17
49.42 deg, intensity 16
61.81 deg, intensity 19

---

[2]
The following is a calculated XRD peak list of Cs2TlFeBr6. It was derived from the GGA-PBE geometry in Alexandria, using Cu Kα X-rays.

Cell and atoms:
```
data_Cs2TlFeBr6
_chemical_formula_sum 'Cs2 Tl1 Fe1 Br6'
_cell_length_a 7.735
_cell_length_b 7.735
_cell_length_c 8.025
_cell_angle_alpha 90.00
_cell_angle_beta 90.00
_cell_angle_gamma 120.00
_symmetry_space_group_name_H-M 'P 1'
_symmetry_Int_Tables_number 1
_symmetry_space_group_name_Hall 'P 1'
loop_
_atom_site_label
_atom_site_fract_x
_atom_site_fract_y
_atom_site_fract_z
Cs1 0.333 0.667 0.167
Cs2 0.667 0.333 0.833
Tl1 0.000 0.000 0.500
Fe1 0.000 0.000 0.000
Br1 0.151 0.302 0.823
Br2 0.151 0.849 0.823
Br3 0.302 0.151 0.177
Br4 0.698 0.849 0.823
Br5 0.849 0.151 0.177
Br6 0.849 0.698 0.177
```

The 6 most intense peaks (2θ = 10–80°), by angle:
13.22 deg, intensity 54
17.24 deg, intensity 23
23.00 deg, intensity 29
28.89 deg, intensity 100
34.89 deg, intensity 71
46.99 deg, intensity 28